Diffraction record for Sm2Dy2CCl4F. The XRD peak list is computed, not measured: it uses the GGA-PBE geometry in OQMD and CuKα.
Kinematic intensities with the Lorentz-polarization factor, no thermal factor.

Cell and atoms:
```
Sm2Dy2CCl4F
1.0
8.5630 -1.8046 0.0000
8.5630 1.8046 0.0000
-1.6557 0.0000 7.1553
Sm Dy C Cl F
2 2 1 4 1
Cartesian
2.3815 0.0000 0.6491 Sm
13.0888 0.0000 6.5061 Sm
8.1275 0.0000 1.6436 Dy
7.3428 0.0000 5.5117 Dy
0.0000 0.0000 0.0000 C
5.3577 0.0000 1.3139 Cl
4.8472 0.0000 4.4590 Cl
10.6231 0.0000 2.6963 Cl
10.1126 0.0000 5.8414 Cl
-0.8279 0.0000 3.5776 F
```

Peak list (12 most intense, 2θ from 10° to 80°, by angle)
| 2theta | intensity |
| --- | --- |
| 10.60 | 54 |
| 12.37 | 69 |
| 27.66 | 23 |
| 28.99 | 24 |
| 29.30 | 25 |
| 29.50 | 48 |
| 32.19 | 54 |
| 33.53 | 26 |
| 34.86 | 100 |
| 36.65 | 29 |
| 47.97 | 28 |
| 48.37 | 35 |